Structure and theoretical powder diffraction line list of NaV2P2O9 (a structure optimized by DFT (GGA+U); Cu Ka).
Neutral-atom scattering factors, no anomalous dispersion.

Principal peaks in the range 15 to 90 degrees two-theta, in order of falling intensity:
index  Position (°2θ)  d_spacing  I/Imax
1 0 2  23.55  3.778  100
2 0 1  16.99  5.220  52
1 2 1  30.69  2.913  47
1 1 1  18.92  4.689  39
4 0 1  27.95  3.193  33
0 2 0  27.71  3.219  33
5 2 3  55.97  1.643  25
5 0 1  34.04  2.634  23

Structural model:
```
data_NaV2P2O9
_chemical_formula_sum 'Na4 V8 P8 O36'
_cell_length_a 13.9797
_cell_length_b 6.4384
_cell_length_c 7.8486
_cell_angle_alpha 90.00
_cell_angle_beta 90.00
_cell_angle_gamma 90.00
_space_group_name_H-M_alt 'P n m a'
_space_group_IT_number 62
_space_group_name_Hall '-P 2ac 2n'
loop_
_atom_site_label
_atom_site_type_symbol
_atom_site_fract_x
_atom_site_fract_y
_atom_site_fract_z
_atom_site_occupancy
Na1 Na 0.2188 0.2500 0.1642 1
V1 V 0.0000 0.0000 0.0000 1
V2 V 0.1159 0.2500 0.6551 1
P1 P 0.0589 0.7500 0.6525 1
P2 P 0.1956 0.7500 0.1000 1
O1 O 0.0081 0.7500 0.8316 1
O2 O 0.0178 0.2500 0.4858 1
O3 O 0.0494 0.2500 0.8549 1
O4 O 0.1245 0.5587 0.6438 1
O5 O 0.1324 0.5525 0.0850 1
O6 O 0.2220 0.2500 0.4667 1
O7 O 0.2461 0.2500 0.7692 1
```